The following is a calculated X-ray powder pattern of In17Ga11Hg. It was derived from a structure optimized by DFT (GGA-PBE), using Cu Ka.

Most intense lines, 2θ = 5–70°, by angle:
2theta	d_spacing	intensity
31.70	2.823	100
34.59	2.593	91
36.22	2.480	52
36.76	2.445	35
38.82	2.320	21
40.32	2.237	21
44.09	2.054	20
52.98	1.728	16
60.54	1.529	34
66.21	1.411	14

```
In17Ga11Hg
1.0
5.679 -7.337 0.000
5.679 7.337 0.000
-3.790 0.000 8.471
In Ga Hg
17 11 1
Direct
0.000 0.000 0.000
0.002 0.639 0.777
0.009 0.640 0.391
0.283 0.283 0.999
0.297 0.297 0.654
0.305 0.655 0.673
0.351 0.627 0.007
0.373 0.627 0.356
0.392 0.987 0.015
0.627 0.351 0.007
0.627 0.373 0.356
0.639 0.002 0.777
0.640 0.009 0.391
0.641 0.641 0.709
0.655 0.305 0.673
0.987 0.392 0.015
0.994 0.994 0.365
0.144 0.329 0.316
0.174 0.963 0.706
0.180 0.805 0.179
0.329 0.144 0.316
0.350 0.955 0.510
0.665 0.853 0.040
0.805 0.180 0.179
0.850 0.850 0.604
0.853 0.665 0.040
0.955 0.350 0.510
0.963 0.174 0.706
0.673 0.673 0.271
```